For LiHfAg2, DFT lattice parameters and positions (GGA-PBE) gives the calculated X-ray powder pattern in this record (λ = 1.5418 Å (Cu Kα)).
Peak positions follow from Bragg's law for the DFT cell and can differ from measured ones.

The 8 most intense peaks (2θ = 5–70°), low angle first:
Position (°2θ), intensity, (hkl)
23.60, 23.2, 1 1 1
27.31, 22.6, 2 0 0
39.01, 100.0, 2 2 0
46.10, 11.7, 3 1 1
48.28, 6.5, 2 2 2
56.35, 16.7, 4 0 0
61.94, 4.8, 3 3 1
63.73, 8.5, 4 2 0

Structure:
Cell: 6.530 6.530 6.530 Å, 90.00 90.00 90.00°
Space group F-43m (No. 216)
Unique sites:
Li 0.000 0.000 0.000 [4 per cell]
Hf 0.250 0.250 0.250 [4 per cell]
Ag 0.000 0.000 0.500 [4 per cell]
Ag 0.250 0.250 0.750 [4 per cell]